Computed XRD peak list
Compound: GdSb
Radiation: λ = 1.5418 Å (Cu Kα)
Structure: a cell relaxed with PBE

Lattice parameters (Å, degrees): 6.246 6.246 6.246 90.00 90.00 90.00
Space group Fm-3m (No. 225)
Asymmetric unit:
Gd  0.000  0.000  0.000
Sb  0.000  0.000  0.500

Peak list (8 most intense, 5 to 70 degrees two-theta, sorted by position)
- d 3.606, 24.69°, I 2.8, (1 1 1)
- d 3.123, 28.58°, I 100.0, (2 0 0)
- d 2.208, 40.86°, I 76.3, (2 2 0)
- d 1.883, 48.32°, I 1.5, (3 1 1)
- d 1.803, 50.62°, I 27.2, (2 2 2)
- d 1.562, 59.16°, I 12.7, (4 0 0)
- d 1.433, 65.09°, I 0.7, (3 3 1)
- d 1.397, 67.00°, I 34.9, (4 2 0)


Computed XRD peak list
Compound: Y4InAuN2
Radiation: λ = 1.5418 Å (Cu Kα)
Structure: a cell relaxed with PBE

Lattice parameters (Å, degrees): 3.5362 3.5362 15.1816 90.00 90.00 120.00
Space group P-6m2 (No. 187)
Asymmetric unit:
Y  0.0000  0.0000  0.1471
Y  0.3333  0.6667  0.3264
In  0.0000  0.0000  0.5000
Au  0.3333  0.6667  0.0000
N  0.6667  0.3333  0.2438

Peak list (8 most intense, 5 to 70 degrees two-theta, sorted by position)
- d 15.182, 5.82°, I 27.6, (0 0 1)
- d 3.062, 29.16°, I 23.2, (1 0 0)
- d 2.620, 34.22°, I 100.0, (1 0 3)
- d 2.530, 35.48°, I 16.2, (0 0 6)
- d 1.951, 46.56°, I 15.6, (1 0 6)
- d 1.768, 51.69°, I 24.4, (1 1 0)
- d 1.466, 63.47°, I 16.2, (2 0 3)
- d 1.449, 64.27°, I 17.2, (1 1 6)


Computed XRD peak list
Compound: BeAl2ZnCu4
Radiation: λ = 1.5418 Å (Cu Kα)
Structure: a cell relaxed with PBE

Lattice parameters (Å, degrees): 5.796 5.796 11.553 90.00 90.00 90.00
Space group I4_1/amd (No. 141, origin choice 2)
Asymmetric unit:
Be  0.000  0.250  0.375
Al  0.000  0.250  0.116
Zn  0.000  0.250  0.875
Cu  0.225  0.000  0.500

Peak list (8 most intense, 5 to 70 degrees two-theta, sorted by position)
- d 3.208, 27.81°, I 5.7, (1 0 3)
- d 2.898, 30.85°, I 11.2, (2 0 0)
- d 2.888, 30.96°, I 6.2, (0 0 4)
- d 2.529, 35.49°, I 7.8, (2 1 1)
- d 2.047, 44.25°, I 100.0, (2 0 4)
- d 1.906, 47.73°, I 4.1, (3 0 1)
- d 1.449, 64.28°, I 9.4, (4 0 0)
- d 1.444, 64.53°, I 5.1, (0 0 8)